The following is a simulated powder XRD pattern of K4SiTe. It was derived from the PBE geometry in Alexandria, using Cu Kα.

Top 8 peaks for 5 to 70 degrees two-theta, low angle first:
two_theta	I/Imax
15.64	20
18.08	18
25.68	44
30.21	100
31.59	26
45.28	18
48.19	34
52.78	23

Cell and atoms:
```
K4SiTe
1.0
0.000 4.906 4.906
4.906 0.000 4.906
4.906 4.906 0.000
K Si Te
4 1 1
direct
0.376 0.376 0.376
0.376 0.376 0.872
0.376 0.872 0.376
0.872 0.376 0.376
0.000 0.000 0.000
0.750 0.750 0.750
```

***

The following is a simulated powder XRD pattern of Tm2Mn12GaGe11. It was derived from the PBE geometry in Alexandria, using Cu Kα.

Top 8 peaks for 5 to 70 degrees two-theta, low angle first:
two_theta	I/Imax
34.77	77
38.93	44
40.37	50
41.48	100
44.68	24
46.40	36
48.79	23
66.92	23

Cell and atoms:
```
Tm2Mn12GaGe11
1.0
5.160 0.000 0.000
-2.580 4.468 0.000
0.000 0.000 16.225
Tm Mn Ga Ge
2 12 1 11
direct
0.000 0.000 0.000
0.000 0.000 0.499
0.000 0.500 0.122
0.000 0.500 0.374
0.000 0.500 0.624
0.000 0.500 0.873
0.500 0.000 0.122
0.500 0.000 0.374
0.500 0.000 0.624
0.500 0.000 0.873
0.500 0.500 0.122
0.500 0.500 0.374
0.500 0.500 0.624
0.500 0.500 0.873
0.000 0.000 0.172
0.000 0.000 0.328
0.000 0.000 0.670
0.000 0.000 0.828
0.333 0.667 0.247
0.333 0.667 0.498
0.333 0.667 0.749
0.333 0.667 0.998
0.667 0.333 0.247
0.667 0.333 0.498
0.667 0.333 0.749
0.667 0.333 0.998
```

***

The following is a simulated powder XRD pattern of SmGa2Ni2Rh. It was derived from the PBE geometry in Alexandria, using Cu Kα.

Top 8 peaks for 5 to 70 degrees two-theta, low angle first:
two_theta	I/Imax
19.08	33
27.12	52
32.08	43
38.72	99
39.29	100
52.48	22
55.92	34
56.35	68

Cell and atoms:
```
SmGa2Ni2Rh
1.0
4.651 0.000 0.000
0.000 4.651 0.000
0.000 0.000 5.271
Sm Ga Ni Rh
1 2 2 1
direct
0.000 0.000 0.000
0.000 0.500 0.500
0.500 0.000 0.500
0.500 0.500 0.250
0.500 0.500 0.750
0.000 0.000 0.500
```